Entry 1:
Theoretical PXRD pattern
Compound: Zn2In2CuPt5
Radiation: Cu Kα (λ = 1.5418 Å)
Structure: a crystal structure in Alexandria, relaxed with PBE
Kinematic intensities with the Lorentz-polarization factor, no thermal factor.

Crystal structure
Cell: 9.3186 9.3186 3.8183 Å, 90.00 90.00 90.00°
Space group P4/mbm (No. 127)
Inequivalent atoms, fractional coordinates:
Zn (0.1278, 0.3722, 0.0000)
In (0.1712, 0.6712, 0.0000)
Cu (0.0000, 0.0000, 0.0000)
Pt (0.0000, 0.5000, 0.5000)
Pt (0.0859, 0.1902, 0.5000)

Main lines, by angle (10 to 80 degrees two-theta):
2θ 23.30, I = 21; 2θ 30.31, I = 14; 2θ 31.79, I = 18; 2θ 38.59, I = 100; 2θ 39.89, I = 37; 2θ 42.22, I = 37; 2θ 43.43, I = 15; 2θ 47.63, I = 24; 2θ 63.82, I = 18; 2θ 68.23, I = 14

Entry 2:
Theoretical PXRD pattern
Compound: Ca3SnAs3
Radiation: Cu Kα (λ = 1.5418 Å)
Structure: a crystal structure in Alexandria, relaxed with PBE
Kinematic intensities with the Lorentz-polarization factor, no thermal factor.

Crystal structure
Cell: 18.2643 7.3514 11.8591 Å, 90.00 90.00 90.00°
Space group Cmce (No. 64)
Inequivalent atoms, fractional coordinates:
Ca (0.0000, 0.1495, 0.1419)
Ca (0.1768, 0.1561, 0.8693)
Sn (0.0947, 0.0000, 0.5000)
As (0.0000, 0.2438, 0.3870)
As (0.1655, 0.2469, 0.1270)

Main lines, by angle (10 to 80 degrees two-theta):
2θ 14.97, I = 64; 2θ 24.20, I = 60; 2θ 26.06, I = 45; 2θ 28.30, I = 45; 2θ 29.34, I = 25; 2θ 30.15, I = 22; 2θ 38.39, I = 59; 2θ 39.03, I = 58; 2θ 42.58, I = 100; 2θ 67.39, I = 32

Entry 3:
Theoretical PXRD pattern
Compound: Pa2AuS2N2
Radiation: Cu Kα (λ = 1.5418 Å)
Structure: a crystal structure in Alexandria, relaxed with PBE
Kinematic intensities with the Lorentz-polarization factor, no thermal factor.

Crystal structure
Cell: 3.9015 3.9015 10.8830 Å, 90.00 90.00 120.00°
Space group P-3m1 (No. 164)
Inequivalent atoms, fractional coordinates:
Pa (0.3333, 0.6667, 0.1322)
Au (0.0000, 0.0000, 0.5000)
S (0.0000, 0.0000, 0.2869)
N (0.3333, 0.6667, 0.9243)

Main lines, by angle (10 to 80 degrees two-theta):
2θ 24.54, I = 26; 2θ 27.64, I = 100; 2θ 31.16, I = 53; 2θ 42.67, I = 32; 2θ 46.56, I = 31; 2θ 49.84, I = 13; 2θ 53.32, I = 20; 2θ 55.01, I = 15; 2θ 64.10, I = 11; 2θ 74.86, I = 12